Computed powder diffractogram of NaAl6Fe3Si6B3H3O30F for Cu Ka, from a DFT-relaxed cell (PBE+U, Alexandria).
Lines closer than 0.1° are merged.

Principal peaks in the range 10° ≤ 2θ ≤ 90°, most intense first:
| 2θ (°) | intensity |
| --- | --- |
| 34.51 | 100 |
| 13.77 | 66 |
| 25.38 | 49 |
| 20.86 | 48 |
| 29.93 | 46 |
| 43.99 | 46 |
| 22.12 | 37 |
| 54.84 | 23 |

Cell and atoms:
```
NaAl6Fe3Si6B3H3O30F
1.0
8.037 4.640 2.418
-8.037 4.640 2.418
0.000 -9.281 2.418
Na Al Fe Si B H O F
1 6 3 6 3 3 30 1
Direct
0.000 0.000 0.000
0.137 0.361 0.694
0.137 0.694 0.361
0.361 0.137 0.694
0.361 0.694 0.137
0.694 0.137 0.361
0.694 0.361 0.137
0.365 0.365 0.533
0.365 0.533 0.365
0.533 0.365 0.365
0.595 0.784 0.978
0.595 0.978 0.784
0.784 0.595 0.978
0.784 0.978 0.595
0.978 0.595 0.784
0.978 0.784 0.595
0.015 0.348 0.348
0.348 0.015 0.348
0.348 0.348 0.015
0.032 0.032 0.429
0.032 0.429 0.032
0.429 0.032 0.032
0.064 0.783 0.783
0.132 0.318 0.318
0.152 0.580 0.867
0.152 0.867 0.580
0.164 0.164 0.569
0.164 0.569 0.164
0.290 0.439 0.956
0.290 0.956 0.439
0.318 0.132 0.318
0.318 0.318 0.132
0.374 0.555 0.759
0.374 0.759 0.555
0.439 0.290 0.956
0.439 0.956 0.290
0.555 0.374 0.759
0.555 0.759 0.374
0.569 0.164 0.164
0.580 0.152 0.867
0.580 0.867 0.152
0.672 0.952 0.952
0.759 0.374 0.555
0.759 0.555 0.374
0.783 0.064 0.783
0.783 0.783 0.064
0.867 0.152 0.580
0.867 0.580 0.152
0.952 0.672 0.952
0.952 0.952 0.672
0.956 0.290 0.439
0.956 0.439 0.290
0.642 0.642 0.642
```